For Ti6InRe, DFT lattice parameters and positions (GGA-PBE) gives the calculated powder X-ray diffraction pattern in this record (copper Kα).

Structural model:
Lattice parameters (Å, degrees): 7.9223 7.9223 7.9223 33.87 33.87 33.87
Fractional coordinates of all 8 atoms:
Ti  0.1157  0.1157  0.1157
Ti  0.2487  0.2487  0.2487
Ti  0.3681  0.3681  0.3681
Ti  0.6319  0.6319  0.6319
Ti  0.7513  0.7513  0.7513
Ti  0.8843  0.8843  0.8843
In  0.5000  0.5000  0.5000
Re  0.0000  0.0000  0.0000

Main lines, in order of rising 2θ (10 to 90 degrees two-theta):
2θ (°)	intensity
23.63	45.7
27.42	32.4
39.03	100.0
39.31	92.7
56.59	30.3
70.89	29.9

---

For MgCoH, DFT lattice parameters and positions (GGA-PBE) gives the calculated powder X-ray diffraction pattern in this record (copper Kα).

Structural model:
Lattice parameters (Å, degrees): 3.1395 3.1571 6.4697 90.00 90.00 90.00
Fractional coordinates of all 6 atoms:
Mg  0.2500  0.2500  0.1910
Mg  0.7500  0.7500  0.8090
Co  0.2500  0.2500  0.5975
Co  0.7500  0.7500  0.4025
H  0.2500  0.2500  0.8560
H  0.7500  0.7500  0.1440

Main lines, in order of rising 2θ (10 to 90 degrees two-theta):
2θ (°)	intensity
13.69	100.0
39.90	46.9
40.02	46.5
40.52	64.0
42.97	22.4
51.35	39.8

---

For SrPr6Nd2, DFT lattice parameters and positions (GGA-PBE) gives the calculated powder X-ray diffraction pattern in this record (copper Kα).

Structural model:
Lattice parameters (Å, degrees): 9.1264 9.1264 9.1264 140.83 132.89 62.88
Fractional coordinates of all 9 atoms:
Sr  0.0000  0.0000  0.0000
Pr  0.0479  0.2864  0.7615
Pr  0.2804  0.5000  0.7804
Pr  0.4751  0.7136  0.7615
Pr  0.5249  0.2864  0.2385
Pr  0.7196  0.5000  0.2196
Pr  0.9521  0.7136  0.2385
Nd  0.3955  0.8955  0.5000
Nd  0.6045  0.1045  0.5000

Main lines, in order of rising 2θ (10 to 90 degrees two-theta):
2θ (°)	intensity
29.07	100.0
29.19	74.5
29.83	32.7
32.25	81.9
33.67	40.0
45.15	35.4

---

Number 3 is which compound?
SrPr6Nd2